Entry 1:
Calculated X-ray diffraction stick pattern of LuBe4 for λ = 1.5418 Å (Cu Kα), from the GGA-PBE geometry in OQMD.
Lines closer than 0.1° are merged.

Structure:
```
data_LuBe4
_symmetry_space_group_name_H-M 'P 4/n m m'
_symmetry_Int_Tables_number 129
_cell_length_a 4.711
_cell_length_b 4.711
_cell_length_c 6.133
_cell_angle_alpha 90.00
_cell_angle_beta 90.00
_cell_angle_gamma 90.00
loop_
_symmetry_equiv_pos_as_xyz
'x,y,z'
'-x,-y,-z'
'-y+1/2,x,z'
'y+1/2,-x,-z'
'-x+1/2,-y+1/2,z'
'x+1/2,y+1/2,-z'
'y,-x+1/2,z'
'-y,x+1/2,-z'
'x+1/2,-y,-z'
'-x+1/2,y,z'
'-y,-x,-z'
'y,x,z'
'-x,y+1/2,-z'
'x,-y+1/2,z'
'y+1/2,x+1/2,-z'
'-y+1/2,-x+1/2,z'
loop_
_atom_site_label
_atom_site_type_symbol
_atom_site_fract_x
_atom_site_fract_y
_atom_site_fract_z
_atom_site_occupancy
Lu1 Lu 0.250 0.250 0.204 1
Be1 Be 0.250 0.250 0.705 1
Be2 Be 0.250 0.750 0.159 1
Be3 Be 0.250 0.750 0.500 1
```

Largest 6 diffraction maxima, by angle, 2θ from 5° to 70°:
2θ = 23.8°, I 100
2θ = 26.8°, I 38
2θ = 34.9°, I 14
2θ = 38.2°, I 23
2θ = 40.0°, I 24
2θ = 45.5°, I 37



Entry 2:
Calculated X-ray diffraction stick pattern of LuBe13 for λ = 1.5418 Å (Cu Kα), from the GGA-PBE geometry in OQMD.
Lines closer than 0.1° are merged.

Structure:
```
data_LuBe13
_symmetry_space_group_name_H-M 'F m -3 c'
_symmetry_Int_Tables_number 226
_symmetry_space_group_name_Hall '-F 4a 2 3'
_cell_length_a 10.114
_cell_length_b 10.114
_cell_length_c 10.114
_cell_angle_alpha 90.00
_cell_angle_beta 90.00
_cell_angle_gamma 90.00
loop_
_atom_site_label
_atom_site_type_symbol
_atom_site_fract_x
_atom_site_fract_y
_atom_site_fract_z
_atom_site_occupancy
Lu1 Lu 0.250 0.250 0.250 1
Be1 Be 0.000 0.000 0.000 1
Be2 Be 0.000 0.114 0.177 1
```

Largest 6 diffraction maxima, by angle, 2θ from 5° to 70°:
2θ = 17.5°, I 93
2θ = 24.9°, I 100
2θ = 30.6°, I 44
2θ = 39.9°, I 71
2θ = 43.9°, I 60
2θ = 69.6°, I 28



Entry 3:
Calculated X-ray diffraction stick pattern of LuBeSbOs for λ = 1.5418 Å (Cu Kα), from the GGA-PBE geometry in OQMD.
Lines closer than 0.1° are merged.

Structure:
```
data_LuBeSbOs
_symmetry_space_group_name_H-M 'F -4 3 m'
_symmetry_Int_Tables_number 216
_symmetry_space_group_name_Hall 'F -4 2 3'
_cell_length_a 6.493
_cell_length_b 6.493
_cell_length_c 6.493
_cell_angle_alpha 90.00
_cell_angle_beta 90.00
_cell_angle_gamma 90.00
loop_
_atom_site_label
_atom_site_type_symbol
_atom_site_fract_x
_atom_site_fract_y
_atom_site_fract_z
_atom_site_occupancy
Lu1 Lu 0.000 0.000 0.000 1
Be1 Be 0.250 0.250 0.750 1
Sb1 Sb 0.250 0.250 0.250 1
Os1 Os 0.000 0.000 0.500 1
```

Largest 6 diffraction maxima, by angle, 2θ from 5° to 70°:
2θ = 23.7°, I 14
2θ = 27.5°, I 29
2θ = 39.2°, I 100
2θ = 48.6°, I 8
2θ = 56.7°, I 17
2θ = 64.1°, I 11



Entry 4:
Calculated X-ray diffraction stick pattern of MgScBeZn for λ = 1.5418 Å (Cu Kα), from the GGA-PBE geometry in OQMD.
Lines closer than 0.1° are merged.

Structure:
```
data_MgScBeZn
_symmetry_space_group_name_H-M 'F -4 3 m'
_symmetry_Int_Tables_number 216
_symmetry_space_group_name_Hall 'F -4 2 3'
_cell_length_a 6.391
_cell_length_b 6.391
_cell_length_c 6.391
_cell_angle_alpha 90.00
_cell_angle_beta 90.00
_cell_angle_gamma 90.00
loop_
_atom_site_label
_atom_site_type_symbol
_atom_site_fract_x
_atom_site_fract_y
_atom_site_fract_z
_atom_site_occupancy
Mg1 Mg 0.000 0.000 0.000 1
Sc1 Sc 0.000 0.000 0.500 1
Be1 Be 0.250 0.250 0.750 1
Zn1 Zn 0.250 0.250 0.250 1
```

Largest 5 diffraction maxima, by angle, 2θ from 5° to 70°:
2θ = 24.1°, I 53
2θ = 39.9°, I 100
2θ = 47.2°, I 26
2θ = 57.7°, I 16
2θ = 63.4°, I 10



Entry 5:
Calculated X-ray diffraction stick pattern of SmMg4Be4Zn4 for λ = 1.5418 Å (Cu Kα), from the GGA-PBE geometry in OQMD.
Lines closer than 0.1° are merged.

Structure:
```
data_SmMg4Be4Zn4
_symmetry_space_group_name_H-M 'I 4/m m m'
_symmetry_Int_Tables_number 139
_symmetry_space_group_name_Hall '-I 4 2'
_cell_length_a 9.026
_cell_length_b 9.026
_cell_length_c 5.197
_cell_angle_alpha 90.00
_cell_angle_beta 90.00
_cell_angle_gamma 90.00
loop_
_atom_site_label
_atom_site_type_symbol
_atom_site_fract_x
_atom_site_fract_y
_atom_site_fract_z
_atom_site_occupancy
Sm1 Sm 0.000 0.000 0.000 1
Mg1 Mg 0.000 0.240 0.500 1
Be1 Be 0.000 0.365 0.000 1
Zn1 Zn 0.250 0.250 0.250 1
```

Largest 6 diffraction maxima, by angle, 2θ from 5° to 70°:
2θ = 13.9°, I 28
2θ = 19.7°, I 24
2θ = 28.0°, I 74
2θ = 40.0°, I 100
2θ = 45.0°, I 15
2θ = 57.8°, I 42



Entry 6:
Calculated X-ray diffraction stick pattern of SmMg4Be4Zn4 for λ = 1.5418 Å (Cu Kα), from the GGA-PBE geometry in OQMD.
Lines closer than 0.1° are merged.

Structure:
```
data_SmMg4Be4Zn4
_symmetry_space_group_name_H-M 'I 4/m m m'
_symmetry_Int_Tables_number 139
_symmetry_space_group_name_Hall '-I 4 2'
_cell_length_a 8.916
_cell_length_b 8.916
_cell_length_c 5.092
_cell_angle_alpha 90.00
_cell_angle_beta 90.00
_cell_angle_gamma 90.00
loop_
_atom_site_label
_atom_site_type_symbol
_atom_site_fract_x
_atom_site_fract_y
_atom_site_fract_z
_atom_site_occupancy
Sm1 Sm 0.000 0.000 0.000 1
Mg1 Mg 0.000 0.347 0.000 1
Be1 Be 0.000 0.196 0.500 1
Zn1 Zn 0.250 0.250 0.250 1
```

Largest 6 diffraction maxima, by angle, 2θ from 5° to 70°:
2θ = 20.1°, I 65
2θ = 28.3°, I 87
2θ = 35.0°, I 43
2θ = 40.5°, I 86
2θ = 40.8°, I 100
2θ = 58.8°, I 41